Structure and simulated powder XRD pattern of BaNd2Mo4O16 (the GGA+U geometry in Alexandria; Cu Kα, 1.54184 Å).
Lines closer than 0.1° are merged.

Atomic structure:
Unit cell a=5.4269 b=12.9740 c=19.9933 alpha=90.00 beta=91.33 gamma=90.00
Space group C2/c (No. 15)
Symmetry-distinct sites (fractional):
Ba (0.0000, 0.0304, 0.2500) (multiplicity 4)
Nd (0.0019, 0.1480, 0.4672) (multiplicity 8)
Mo (0.0022, 0.2604, 0.8509) (multiplicity 8)
Mo (0.0088, 0.4407, 0.0906) (multiplicity 8)
O (0.1156, 0.4155, 0.3316) (multiplicity 8)
O (0.1173, 0.1403, 0.8241) (multiplicity 8)
O (0.1524, 0.3306, 0.0460) (multiplicity 8)
O (0.1609, 0.2417, 0.5683) (multiplicity 8)
O (0.2060, 0.3102, 0.7095) (multiplicity 8)
O (0.2283, 0.4566, 0.6019) (multiplicity 8)
O (0.2396, 0.1510, 0.1349) (multiplicity 8)
O (0.2460, 0.0175, 0.5366) (multiplicity 8)

Main lines, sorted by position (2θ from 10° to 90°):
hkl 1 1 -4, 24.9 deg, I = 74
hkl 1 1 4, 25.5 deg, I = 78
hkl 1 3 -1, 26.7 deg, I = 60
hkl 1 3 1, 26.8 deg, I = 61
hkl 1 3 -2, 27.7 deg, I = 62
hkl 1 3 2, 28.0 deg, I = 60
hkl 1 1 -5, 28.3 deg, I = 82
hkl 1 1 5, 28.9 deg, I = 100
hkl 0 2 6, 30.2 deg, I = 59
hkl 2 0 0, 33.0 deg, I = 68